Starting from a crystal structure in the Materials Project, relaxed with GGA-PBE, the X-ray diffraction stick pattern of NaZr2SN2Cl was simulated for CuKα.
Kinematic intensities with the Lorentz-polarization factor, no thermal factor.

Principal peaks in the range 15° ≤ 2θ ≤ 90°, in order of rising 2θ:
2θ (°)  d_spacing  I (rel.)  hkl
28.60  3.121  31  1 2 -1
31.59  2.832  50  1 0 2
31.77  2.817  100  2 2 -1
35.00  2.564  28  3 0 -2
35.86  2.504  19  4 0 0
41.20  2.191  34  3 2 1
41.29  2.187  17  4 0 -2
49.33  1.847  36  1 2 -3
49.50  1.841  18  0 4 0
59.88  1.545  29  1 4 2

Structure:
Unit cell a=10.2334 b=7.3652 c=6.4057 alpha=90.00 beta=101.78 gamma=90.00
Space group P2_1/c (No. 14)
Inequivalent atoms, fractional coordinates:
Na 0.0051 0.1250 0.2592 [4 per cell]
Zr 0.3684 0.1334 0.0274 [4 per cell]
Zr 0.3739 0.6190 0.0542 [4 per cell]
S 0.1915 0.1227 0.6470 [4 per cell]
N 0.4120 0.6333 0.4020 [4 per cell]
N 0.4130 0.1149 0.3736 [4 per cell]
Cl 0.1727 0.6283 0.6398 [4 per cell]

Starting from a crystal structure in the Materials Project, relaxed with GGA-PBE, the X-ray diffraction stick pattern of Na2SO9 was simulated for CuKα.
Kinematic intensities with the Lorentz-polarization factor, no thermal factor.

Principal peaks in the range 15° ≤ 2θ ≤ 90°, in order of rising 2θ:
2θ (°)  d_spacing  I (rel.)  hkl
16.54  5.359  51  1 1 0
24.62  3.617  30  2 0 1
27.32  3.264  26  2 1 1
29.51  3.027  35  0 0 4
30.22  2.958  100  2 1 2
32.41  2.763  25  2 0 3
34.56  2.596  37  2 1 3
37.53  2.397  55  3 1 0
38.28  2.351  36  3 1 1
45.19  2.006  24  2 2 4

Structure:
Unit cell a=7.5793 b=7.5793 c=12.1075 alpha=90.00 beta=90.00 gamma=90.00
Space group P4_322 (No. 95)
Inequivalent atoms, fractional coordinates:
Na 0.0000 0.2005 0.0000 [4 per cell]
Na 0.2779 0.5000 0.7500 [4 per cell]
S 0.3456 0.5000 0.2500 [4 per cell]
O 0.0107 0.4766 0.4490 [8 per cell]
O 0.0743 0.2466 0.7576 [8 per cell]
O 0.1351 0.1405 0.8301 [8 per cell]
O 0.3240 0.3240 0.1250 [4 per cell]
O 0.3666 0.4450 0.9349 [8 per cell]